[1]
The following is a theoretical XRD peak list of Ba2CaMgAl2F14. It was derived from a crystal structure in Alexandria, relaxed with GGA-PBE, using a wavelength of 1.5418 Å.
No peak broadening, texture or thermal motion is included.

Largest 6 diffraction maxima, low angle first, 10 to 80 degrees two-theta:
| 2theta | I_rel |
| --- | --- |
| 21.54 | 42 |
| 24.06 | 38 |
| 25.70 | 100 |
| 28.18 | 45 |
| 39.20 | 35 |
| 43.79 | 35 |

Atomic structure:
Lattice parameters (Å, degrees): 13.794 5.280 14.802 90.00 91.89 90.00
Space group C2/c (No. 15)
Unique sites:
Ba: 0.191 0.040 0.118 (multiplicity 8)
Ca: 0.000 0.439 0.750 (multiplicity 4)
Mg: 0.000 0.500 0.000 (multiplicity 4)
Al: 0.116 0.006 0.378 (multiplicity 8)
F: 0.007 0.063 0.658 (multiplicity 8)
F: 0.065 0.446 0.119 (multiplicity 8)
F: 0.079 0.190 0.476 (multiplicity 8)
F: 0.113 0.285 0.950 (multiplicity 8)
F: 0.126 0.280 0.305 (multiplicity 8)
F: 0.159 0.199 0.785 (multiplicity 8)
F: 0.240 0.043 0.420 (multiplicity 8)

***

[2]
The following is a theoretical XRD peak list of Sr5Ca5Hg2. It was derived from a crystal structure in Alexandria, relaxed with GGA-PBE, using a wavelength of 1.5418 Å.
No peak broadening, texture or thermal motion is included.

Largest 6 diffraction maxima, low angle first, 10 to 80 degrees two-theta:
| 2theta | I_rel |
| --- | --- |
| 17.20 | 42 |
| 27.26 | 71 |
| 28.34 | 42 |
| 29.00 | 100 |
| 29.86 | 42 |
| 32.77 | 58 |

Atomic structure:
Lattice parameters (Å, degrees): 17.885 5.466 12.417 90.00 123.83 90.00
Space group C2/m (No. 12)
Unique sites:
Sr: 0.000 0.000 0.000 (multiplicity 2)
Sr: 0.140 0.000 0.845 (multiplicity 4)
Sr: 0.161 0.000 0.498 (multiplicity 4)
Ca: 0.000 0.500 0.500 (multiplicity 2)
Ca: 0.061 0.500 0.233 (multiplicity 4)
Ca: 0.236 0.000 0.235 (multiplicity 4)
Hg: 0.137 0.500 0.049 (multiplicity 4)

***

[3]
The following is a theoretical XRD peak list of Hf6BiN2. It was derived from a crystal structure in Alexandria, relaxed with GGA-PBE, using a wavelength of 1.5418 Å.
No peak broadening, texture or thermal motion is included.

Largest 6 diffraction maxima, low angle first, 10 to 80 degrees two-theta:
| 2theta | I_rel |
| --- | --- |
| 29.08 | 52 |
| 32.64 | 100 |
| 35.05 | 79 |
| 35.19 | 100 |
| 36.54 | 49 |
| 37.17 | 78 |

Atomic structure:
Lattice parameters (Å, degrees): 13.615 9.995 5.852 90.00 103.43 90.00
Space group C2/c (No. 15)
Unique sites:
Hf: 0.121 0.106 0.108 (multiplicity 8)
Hf: 0.163 0.253 0.611 (multiplicity 8)
Hf: 0.185 0.440 0.117 (multiplicity 8)
Bi: 0.000 0.393 0.750 (multiplicity 4)
N: 0.157 0.071 0.787 (multiplicity 8)